[1]
The following is a theoretical X-ray powder pattern of Tb6Dy7Ho16. It was derived from a cell relaxed with GGA-PBE, using CuKα.
Kinematic intensities with the Lorentz-polarization factor, no thermal factor.

Atomic structure:
Cell lengths 15.613, 15.613, 15.613 Å; angles 90.00, 90.00, 90.00 degrees
Space group Fm-3m (No. 225)
Inequivalent atoms, fractional coordinates:
Tb (0.000, 0.000, 0.223)
Dy (0.000, 0.000, 0.500)
Dy (0.000, 0.250, 0.250)
Ho (0.124, 0.124, 0.376)
Ho (0.151, 0.151, 0.151)

Largest 8 diffraction maxima, low angle first, 2θ from 5° to 70°:
h k l	Position (°2θ)	I (rel.)
4 2 2	28.00	7
3 3 3	29.73	16
4 4 0	32.44	100
7 3 1	44.58	8
8 0 0	46.53	13
8 4 4	57.87	24
7 7 3	61.43	8
8 8 0	67.92	6



[2]
The following is a theoretical X-ray powder pattern of Pr2Si2N5. It was derived from a cell relaxed with GGA-PBE, using CuKα.
Kinematic intensities with the Lorentz-polarization factor, no thermal factor.

Atomic structure:
Cell lengths 10.272, 3.805, 5.981 Å; angles 90.00, 102.73, 90.00 degrees
Space group C2/m (No. 12)
Inequivalent atoms, fractional coordinates:
Pr (0.106, 0.000, 0.323)
Si (0.152, 0.500, 0.893)
N (0.000, 0.500, 0.000)
N (0.145, 0.500, 0.599)
N (0.176, 0.000, 0.946)

Largest 8 diffraction maxima, low angle first, 2θ from 5° to 70°:
h k l	Position (°2θ)	I (rel.)
2 0 -1	20.67	29
1 1 0	25.03	50
2 0 1	25.87	42
1 1 1	30.44	100
2 0 -2	31.92	45
4 0 0	35.81	62
3 1 -1	36.55	54
1 1 -2	38.35	45



[3]
The following is a theoretical X-ray powder pattern of BaTlHg2As. It was derived from a cell relaxed with GGA-PBE, using CuKα.
Kinematic intensities with the Lorentz-polarization factor, no thermal factor.

Atomic structure:
Cell lengths 4.545, 4.736, 14.542 Å; angles 90.00, 90.00, 90.00 degrees
Space group Imm2 (No. 44)
Inequivalent atoms, fractional coordinates:
Ba (0.000, 0.000, 0.000)
Tl (0.000, 0.500, 0.783)
Hg (0.000, 0.000, 0.632)
Hg (0.000, 0.500, 0.277)
As (0.000, 0.000, 0.438)

Largest 8 diffraction maxima, low angle first, 2θ from 5° to 70°:
h k l	Position (°2θ)	I (rel.)
0 0 2	12.17	20
0 1 3	26.31	14
1 1 2	29.89	100
1 1 4	36.91	42
0 0 6	37.09	14
0 2 0	38.00	23
2 0 0	39.66	20
2 2 0	56.09	15



Which formula does entry 2 have?
Pr2Si2N5